Record 1
Theoretical XRD peak list
Compound: Ce4Ge2Sb
Radiation: Cu Ka
Structure: a DFT-relaxed cell (PBE, Alexandria)
Lines closer than 0.1° are merged.

Largest 8 diffraction maxima, low angle first, 15° ≤ 2θ ≤ 90°:
2theta	I_rel	h k l
30.8	61	1 0 3
31.1	100	3 0 1
36.8	20	2 1 3
36.9	96	3 2 1
48.8	16	2 2 4
49.0	17	4 2 2
62.9	15	5 2 3
64.8	16	6 0 2

Structural model:
```
data_Ce4Ge2Sb
_symmetry_space_group_name_H-M 'I -4 2 d'
_symmetry_Int_Tables_number 122
_symmetry_space_group_name_Hall 'I -4 2bw'
_cell_length_a 9.0924
_cell_length_b 9.0924
_cell_length_c 9.1806
_cell_angle_alpha 90.00
_cell_angle_beta 90.00
_cell_angle_gamma 90.00
loop_
_atom_site_label
_atom_site_fract_x
_atom_site_fract_y
_atom_site_fract_z
Ce1 0.0751 0.6678 0.4363
Ge1 0.1333 0.7500 0.1250
Sb1 0.0000 0.0000 0.5000
```

Record 2
Theoretical XRD peak list
Compound: TmZnAs
Radiation: Cu Ka
Structure: a DFT-relaxed cell (PBE, Alexandria)
Lines closer than 0.1° are merged.

Largest 8 diffraction maxima, low angle first, 15° ≤ 2θ ≤ 90°:
2theta	I_rel	h k l
22.5	64	1 0 1
29.5	39	0 1 5
35.3	62	1 0 7
38.9	100	1 1 0
45.4	26	1 0 10
53.3	28	1 1 9
53.5	19	0 2 7
68.1	18	2 1 7

Structural model:
```
data_TmZnAs
_symmetry_space_group_name_H-M 'R -3 m'
_symmetry_Int_Tables_number 166
_symmetry_space_group_name_Hall '-R 3 2"'
_cell_length_a 4.6279
_cell_length_b 4.6279
_cell_length_c 23.0692
_cell_angle_alpha 90.00
_cell_angle_beta 90.00
_cell_angle_gamma 120.00
loop_
_atom_site_label
_atom_site_fract_x
_atom_site_fract_y
_atom_site_fract_z
Tm1 0.0000 0.0000 0.0886
Zn1 0.0000 0.0000 0.3275
As1 0.0000 0.0000 0.2167
```

Record 3
Theoretical XRD peak list
Compound: UTl2Se2O2
Radiation: Cu Ka
Structure: a DFT-relaxed cell (PBE, Alexandria)
Lines closer than 0.1° are merged.

Largest 8 diffraction maxima, low angle first, 15° ≤ 2θ ≤ 90°:
2theta	I_rel	h k l
22.3	38	1 1 0
22.6	62	2 0 -2
25.6	42	2 0 1
28.0	100	1 1 1
28.1	84	4 0 -1
31.2	83	1 1 -2
32.7	53	3 1 -2
42.2	35	0 2 0

Structural model:
```
data_UTl2Se2O2
_symmetry_space_group_name_H-M 'C 1 2/m 1'
_symmetry_Int_Tables_number 12
_cell_length_a 12.7906
_cell_length_b 4.2832
_cell_length_c 7.9134
_cell_angle_alpha 90.00
_cell_angle_beta 120.84
_cell_angle_gamma 90.00
loop_
_symmetry_equiv_pos_as_xyz
'x,y,z'
'-x,-y,-z'
'-x,y,-z'
'x,-y,z'
'x+1/2,y+1/2,z'
'-x+1/2,-y+1/2,-z'
'-x+1/2,y+1/2,-z'
'x+1/2,-y+1/2,z'
loop_
_atom_site_label
_atom_site_fract_x
_atom_site_fract_y
_atom_site_fract_z
U1 0.0000 0.0000 0.0000
Tl1 0.1792 0.0000 0.6791
Se1 0.0575 0.5000 0.2769
O1 0.1597 0.0000 0.0602
```

Record 4
Theoretical XRD peak list
Compound: CaTb2YSb4
Radiation: Cu Ka
Structure: a DFT-relaxed cell (PBE, Alexandria)
Lines closer than 0.1° are merged.

Largest 8 diffraction maxima, low angle first, 15° ≤ 2θ ≤ 90°:
2theta	I_rel	h k l
28.5	100	2 2 0
40.8	76	4 0 0
50.5	27	4 0 4
59.1	8	4 4 0
66.8	28	2 6 0
74.2	17	2 6 4
74.3	8	6 2 4
88.3	7	0 8 0

Structural model:
```
data_CaTb2YSb4
_symmetry_space_group_name_H-M 'F m m m'
_symmetry_Int_Tables_number 69
_symmetry_space_group_name_Hall '-F 2 2'
_cell_length_a 8.8450
_cell_length_b 8.8525
_cell_length_c 12.5344
_cell_angle_alpha 90.00
_cell_angle_beta 90.00
_cell_angle_gamma 90.00
loop_
_atom_site_label
_atom_site_fract_x
_atom_site_fract_y
_atom_site_fract_z
Ca1 0.0000 0.0000 0.0000
Tb1 0.2500 0.2500 0.2500
Y1 0.0000 0.0000 0.5000
Sb1 0.0000 0.0000 0.2541
Sb2 0.2500 0.2500 0.0000
```

Record 5
Theoretical XRD peak list
Compound: TlCd3Ga2
Radiation: Cu Ka
Structure: a DFT-relaxed cell (PBE, Alexandria)
Lines closer than 0.1° are merged.

Largest 8 diffraction maxima, low angle first, 15° ≤ 2θ ≤ 90°:
2theta	I_rel	h k l
28.7	67	0 2 1
33.4	49	3 1 1
33.7	48	5 1 -1
33.8	100	2 2 1
34.0	99	4 2 -1
38.0	47	6 0 0
38.3	33	1 3 1
39.6	73	2 0 -2

Structural model:
```
data_TlCd3Ga2
_symmetry_space_group_name_H-M 'C 1 2/m 1'
_symmetry_Int_Tables_number 12
_cell_length_a 14.8807
_cell_length_b 8.9032
_cell_length_c 4.5573
_cell_angle_alpha 90.00
_cell_angle_beta 107.28
_cell_angle_gamma 90.00
loop_
_symmetry_equiv_pos_as_xyz
'x,y,z'
'-x,-y,-z'
'-x,y,-z'
'x,-y,z'
'x+1/2,y+1/2,z'
'-x+1/2,-y+1/2,-z'
'-x+1/2,y+1/2,-z'
'x+1/2,-y+1/2,z'
loop_
_atom_site_label
_atom_site_fract_x
_atom_site_fract_y
_atom_site_fract_z
Tl1 0.1343 0.0000 0.1323
Cd1 0.0000 0.3368 0.0000
Cd2 0.1761 0.2914 0.6764
Ga1 0.0000 0.1463 0.5000
Ga2 0.1882 0.5000 0.1867
```

Record 6
Theoretical XRD peak list
Compound: BaTi2Pb2O7
Radiation: Cu Ka
Structure: a DFT-relaxed cell (PBE, Alexandria)
Lines closer than 0.1° are merged.

Largest 8 diffraction maxima, low angle first, 15° ≤ 2θ ≤ 90°:
2theta	I_rel	h k l
19.1	16	0 1 2
22.8	58	1 0 4
25.3	100	0 1 5
30.8	72	1 1 0
40.2	26	2 0 5
45.5	43	1 1 9
51.5	27	1 2 5
54.8	24	3 0 0

Structural model:
```
data_BaTi2Pb2O7
_symmetry_space_group_name_H-M 'R 3 2'
_symmetry_Int_Tables_number 155
_symmetry_space_group_name_Hall 'R 3 2"'
_cell_length_a 5.8047
_cell_length_b 5.8047
_cell_length_c 24.7284
_cell_angle_alpha 90.00
_cell_angle_beta 90.00
_cell_angle_gamma 120.00
loop_
_atom_site_label
_atom_site_fract_x
_atom_site_fract_y
_atom_site_fract_z
Ba1 0.0000 0.0000 0.0000
Ti1 0.0000 0.0000 0.4244
Pb1 0.0000 0.0000 0.2153
O1 0.0000 0.0000 0.5000
O2 0.0174 0.3882 0.0685
```

Record 7
Theoretical XRD peak list
Compound: ReSe
Radiation: Cu Ka
Structure: a DFT-relaxed cell (PBE, Alexandria)
Lines closer than 0.1° are merged.

Largest 8 diffraction maxima, low angle first, 15° ≤ 2θ ≤ 90°:
2theta	I_rel	h k l
35.9	63	0 2 -2
37.9	100	0 2 2
38.7	54	1 0 2
38.9	55	1 0 -3
41.9	83	0 2 -3
43.8	81	1 -2 0
44.2	74	1 2 0
49.7	48	0 0 5

Structural model:
```
data_ReSe
_symmetry_space_group_name_H-M 'P -1'
_symmetry_Int_Tables_number 2
_cell_length_a 2.9897
_cell_length_b 5.7528
_cell_length_c 9.3103
_cell_angle_alpha 93.34
_cell_angle_beta 98.96
_cell_angle_gamma 90.00
loop_
_symmetry_equiv_pos_as_xyz
'x,y,z'
'-x,-y,-z'
loop_
_atom_site_label
_atom_site_fract_x
_atom_site_fract_y
_atom_site_fract_z
Re1 0.2032 0.1172 0.4034
Re2 0.2049 0.6137 0.4071
Se1 0.0950 0.8430 0.1803
Se2 0.3791 0.6511 0.7661
```

Record 8
Theoretical XRD peak list
Compound: Ho2BeGe
Radiation: Cu Ka
Structure: a DFT-relaxed cell (PBE, Alexandria)
Lines closer than 0.1° are merged.

Largest 8 diffraction maxima, low angle first, 15° ≤ 2θ ≤ 90°:
2theta	I_rel	h k l
25.3	31	1 0 1
28.5	34	1 0 4
30.3	100	0 1 5
37.1	35	0 1 8
42.5	29	1 0 10
44.3	35	1 1 0
51.6	21	1 0 13
54.6	32	2 0 5

Structural model:
```
data_Ho2BeGe
_symmetry_space_group_name_H-M 'R -3 m'
_symmetry_Int_Tables_number 166
_symmetry_space_group_name_Hall '-R 3 2"'
_cell_length_a 4.0929
_cell_length_b 4.0929
_cell_length_c 26.6000
_cell_angle_alpha 90.00
_cell_angle_beta 90.00
_cell_angle_gamma 120.00
loop_
_atom_site_label
_atom_site_fract_x
_atom_site_fract_y
_atom_site_fract_z
Ho1 0.0000 0.0000 0.1096
Be1 0.0000 0.0000 0.0000
Ge1 0.0000 0.0000 0.5000
```

Record 9
Theoretical XRD peak list
Compound: Pm6Si2Ru
Radiation: Cu Ka
Structure: a DFT-relaxed cell (PBE, Alexandria)
Lines closer than 0.1° are merged.

Largest 8 diffraction maxima, low angle first, 15° ≤ 2θ ≤ 90°:
2theta	I_rel	h k l
27.6	62	1 2 0
30.3	83	2 1 -2
30.5	100	1 0 -4
31.7	91	2 1 -1
31.8	72	1 2 -3
32.4	67	1 1 2
36.1	97	1 3 -1
52.4	61	2 3 -5

Structural model:
```
data_Pm6Si2Ru
_symmetry_space_group_name_H-M 'P 1 21/c 1'
_symmetry_Int_Tables_number 14
_cell_length_a 6.3227
_cell_length_b 8.1147
_cell_length_c 11.7800
_cell_angle_alpha 90.00
_cell_angle_beta 122.46
_cell_angle_gamma 90.00
loop_
_symmetry_equiv_pos_as_xyz
'x,y,z'
'-x,-y,-z'
'-x,y+1/2,-z+1/2'
'x,-y+1/2,z+1/2'
loop_
_atom_site_label
_atom_site_fract_x
_atom_site_fract_y
_atom_site_fract_z
Pm1 0.0736 0.1732 0.4381
Pm2 0.2980 0.6784 0.4432
Pm3 0.3680 0.0363 0.2420
Si1 0.1826 0.1161 0.7539
Ru1 0.5000 0.0000 0.5000
```

Record 10
Theoretical XRD peak list
Compound: Hf12Rh5N2
Radiation: Cu Ka
Structure: a DFT-relaxed cell (PBE, Alexandria)
Lines closer than 0.1° are merged.

Largest 8 diffraction maxima, low angle first, 15° ≤ 2θ ≤ 90°:
2theta	I_rel	h k l
29.3	44	4 0 -2
29.5	39	2 0 2
29.8	36	2 2 0
36.4	97	2 2 -2
36.7	50	6 0 0
36.7	100	4 2 0
40.4	27	4 2 -2
40.6	26	2 2 2

Structural model:
```
data_Hf12Rh5N2
_symmetry_space_group_name_H-M 'C 1 2/m 1'
_symmetry_Int_Tables_number 12
_cell_length_a 15.2203
_cell_length_b 6.5560
_cell_length_c 7.7463
_cell_angle_alpha 90.00
_cell_angle_beta 105.09
_cell_angle_gamma 90.00
loop_
_symmetry_equiv_pos_as_xyz
'x,y,z'
'-x,-y,-z'
'-x,y,-z'
'x,-y,z'
'x+1/2,y+1/2,z'
'-x+1/2,-y+1/2,-z'
'-x+1/2,y+1/2,-z'
'x+1/2,-y+1/2,z'
loop_
_atom_site_label
_atom_site_fract_x
_atom_site_fract_y
_atom_site_fract_z
Hf1 0.0014 0.0000 0.2967
Hf2 0.0027 0.5000 0.3211
Hf3 0.1422 0.2513 0.0613
Hf4 0.1572 0.2522 0.5892
Rh1 0.0000 0.5000 0.0000
Rh2 0.1921 0.0000 0.3371
Rh3 0.2095 0.0000 0.8641
N1 0.0000 0.2332 0.5000
```

Record 11
Theoretical XRD peak list
Compound: TbFe11Re
Radiation: Cu Ka
Structure: a DFT-relaxed cell (PBE, Alexandria)
Lines closer than 0.1° are merged.

Largest 8 diffraction maxima, low angle first, 15° ≤ 2θ ≤ 90°:
2theta	I_rel	h k l
21.7	32	1 1 0
30.3	26	1 1 2
37.0	34	1 0 3
37.3	38	1 3 0
43.0	100	0 4 0
43.2	45	1 3 2
44.2	29	2 0 2
44.3	46	2 2 0

Structural model:
```
data_TbFe11Re
_symmetry_space_group_name_H-M 'I m m 2'
_symmetry_Int_Tables_number 44
_cell_length_a 4.6767
_cell_length_b 8.4252
_cell_length_c 8.5230
_cell_angle_alpha 90.00
_cell_angle_beta 90.00
_cell_angle_gamma 90.00
loop_
_symmetry_equiv_pos_as_xyz
'x,y,z'
'-x,-y,z'
'-x,y,z'
'x,-y,z'
'x+1/2,y+1/2,z+1/2'
'-x+1/2,-y+1/2,z+1/2'
'-x+1/2,y+1/2,z+1/2'
'x+1/2,-y+1/2,z+1/2'
loop_
_atom_site_label
_atom_site_fract_x
_atom_site_fract_y
_atom_site_fract_z
Tb1 0.0000 0.0000 0.0000
Fe1 0.0000 0.0000 0.6449
Fe2 0.0000 0.2770 0.5072
Fe3 0.0000 0.3589 0.0063
Fe4 0.0000 0.5000 0.2749
Fe5 0.0000 0.5000 0.7356
Fe6 0.2502 0.2502 0.2550
Re1 0.0000 0.0000 0.3685
```

Record 12
Theoretical XRD peak list
Compound: PbAu4O7
Radiation: Cu Ka
Structure: a DFT-relaxed cell (PBE, Alexandria)
Lines closer than 0.1° are merged.

Largest 8 diffraction maxima, low angle first, 15° ≤ 2θ ≤ 90°:
2theta	I_rel	h k l
22.2	73	3 1 0
25.1	64	3 1 1
26.4	85	4 0 0
26.9	33	2 0 2
31.1	100	0 2 2
31.3	33	1 3 0
36.8	56	5 1 1
41.3	32	4 2 2

Structural model:
```
data_PbAu4O7
_symmetry_space_group_name_H-M 'C m c m'
_symmetry_Int_Tables_number 63
_symmetry_space_group_name_Hall '-C 2c 2'
_cell_length_a 13.4892
_cell_length_b 8.7729
_cell_length_c 7.6182
_cell_angle_alpha 90.00
_cell_angle_beta 90.00
_cell_angle_gamma 90.00
loop_
_atom_site_label
_atom_site_fract_x
_atom_site_fract_y
_atom_site_fract_z
Pb1 0.0000 0.1935 0.2500
Au1 0.1076 0.2363 0.7500
Au2 0.1452 0.5000 0.0000
O1 0.0000 0.0709 0.7500
O2 0.1247 0.2642 0.0171
O3 0.1800 0.4401 0.7500
```